Theoretical PXRD pattern
Compound: ErIn2MoO8
Radiation: a wavelength of 1.5418 Å
Structure: a crystal structure in Alexandria, relaxed with PBE+U

Cell and atoms:
a = 4.940 Å, b = 4.940 Å, c = 6.618 Å
α = 90.00°, β = 90.00°, γ = 90.96°
Sites, in units of the cell vectors:
1 Er 0.000 0.000 0.000
2 In 0.500 0.500 0.255
3 In 0.500 0.500 0.745
4 Mo 0.000 0.000 0.500
5 O 0.185 0.815 0.284
6 O 0.185 0.815 0.716
7 O 0.287 0.287 0.500
8 O 0.311 0.311 0.000
9 O 0.689 0.689 0.000
10 O 0.713 0.713 0.500
11 O 0.815 0.185 0.284
12 O 0.815 0.185 0.716

Main lines, in order of falling intensity (10° ≤ 2θ ≤ 80°):
Position (°2θ)  intensity
32.57  100
25.29  64
25.72  59
49.38  42
49.87  39
36.38  29
63.07  24
68.23  11
59.48  10
61.97  10